Entry 1:
MnNb2Mo: simulated powder diffraction line list (Cu Kα X-rays), based on a structure optimized by DFT (GGA-PBE).

Structural model:
```
data_MnNb2Mo
_symmetry_space_group_name_H-M 'P m m a'
_symmetry_Int_Tables_number 51
_cell_length_a 4.481
_cell_length_b 3.157
_cell_length_c 8.924
_cell_angle_alpha 90.00
_cell_angle_beta 90.00
_cell_angle_gamma 90.00
loop_
_symmetry_equiv_pos_as_xyz
'x,y,z'
'-x,-y,-z'
'-x+1/2,-y,z'
'x+1/2,y,-z'
'x+1/2,-y,-z'
'-x+1/2,y,z'
'-x,y,-z'
'x,-y,z'
loop_
_atom_site_label
_atom_site_type_symbol
_atom_site_fract_x
_atom_site_fract_y
_atom_site_fract_z
Mn1 Mn 0.250 0.000 0.119
Nb1 Nb 0.250 0.500 0.367
Nb2 Nb 0.250 0.500 0.884
Mo1 Mo 0.250 0.000 0.630
```

Top 8 peaks for 2θ from 10° to 80°, in order of rising 2θ:
| Position (°2θ) | d [Å] | I_rel | index |
| --- | --- | --- | --- |
| 30.03 | 2.975 | 2 | 0 0 3 |
| 36.24 | 2.479 | 2 | 1 1 1 |
| 40.25 | 2.241 | 20 | 2 0 0 |
| 40.38 | 2.234 | 100 | 1 1 2 |
| 58.40 | 1.580 | 19 | 0 2 0 |
| 73.24 | 1.292 | 13 | 3 1 2 |
| 73.36 | 1.291 | 7 | 2 2 0 |
| 73.49 | 1.289 | 18 | 0 2 4 |

***

Entry 2:
Mn3NbMo: simulated powder diffraction line list (Cu Kα X-rays), based on a structure optimized by DFT (GGA-PBE).

Structural model:
```
data_Mn3NbMo
_symmetry_space_group_name_H-M 'P m -3 m'
_symmetry_Int_Tables_number 221
_symmetry_space_group_name_Hall '-P 4 2 3'
_cell_length_a 4.347
_cell_length_b 4.347
_cell_length_c 4.347
_cell_angle_alpha 90.00
_cell_angle_beta 90.00
_cell_angle_gamma 90.00
loop_
_atom_site_label
_atom_site_type_symbol
_atom_site_fract_x
_atom_site_fract_y
_atom_site_fract_z
Mn1 Mn 0.000 0.000 0.500
Nb1 Nb 0.500 0.500 0.500
Mo1 Mo 0.000 0.000 0.000
```

Top 8 peaks for 2θ from 10° to 80°, in order of rising 2θ:
| Position (°2θ) | d [Å] | I_rel | index |
| --- | --- | --- | --- |
| 20.43 | 4.347 | 18 | 1 0 0 |
| 29.05 | 3.074 | 78 | 1 1 0 |
| 35.78 | 2.510 | 43 | 1 1 1 |
| 41.55 | 2.174 | 100 | 2 0 0 |
| 51.49 | 1.775 | 31 | 2 1 1 |
| 60.21 | 1.537 | 63 | 2 2 0 |
| 72.05 | 1.311 | 14 | 3 1 1 |
| 75.80 | 1.255 | 20 | 2 2 2 |